PmTl2OsO6: theoretical powder diffraction line list (Cu Kα X-rays), based on DFT lattice parameters and positions (PBE).

```
PmTl2OsO6
1.0
6.428 0.000 0.000
-3.214 5.567 0.000
0.000 0.000 5.948
Pm Tl Os O
1 2 1 6
direct
0.000 0.000 0.000 Pm
0.333 0.667 0.537 Tl
0.667 0.333 0.463 Tl
0.000 0.000 0.500 Os
0.138 0.276 0.305 O
0.138 0.862 0.305 O
0.276 0.138 0.695 O
0.724 0.862 0.305 O
0.862 0.138 0.695 O
0.862 0.724 0.695 O
```

Main lines, sorted by position (10° ≤ 2θ ≤ 80°):
14.89°, intensity 62
15.92°, intensity 24
21.87°, intensity 17
27.76°, intensity 100
30.05°, intensity 20
31.64°, intensity 50
41.36°, intensity 69
49.10°, intensity 21
58.64°, intensity 26
78.79°, intensity 18

***

BaCdPtAu2: theoretical powder diffraction line list (Cu Kα X-rays), based on DFT lattice parameters and positions (PBE).

```
BaCdPtAu2
1.0
-2.202 2.241 6.247
2.202 -2.241 6.247
2.202 2.241 -6.247
Ba Cd Pt Au
1 1 1 2
direct
0.000 0.000 0.000 Ba
0.260 0.760 0.500 Cd
0.401 0.401 0.000 Pt
0.615 0.615 0.000 Au
0.765 0.265 0.500 Au
```

Main lines, sorted by position (10° ≤ 2θ ≤ 80°):
29.52°, intensity 24
31.89°, intensity 100
40.25°, intensity 33
40.74°, intensity 53
40.99°, intensity 31
41.37°, intensity 27
41.55°, intensity 20
58.79°, intensity 22
59.21°, intensity 21
59.65°, intensity 18

***

Ca2MgP2H4O10: theoretical powder diffraction line list (Cu Kα X-rays), based on DFT lattice parameters and positions (PBE).

```
Ca2MgP2H4O10
1.0
5.510 0.000 0.000
-1.860 5.472 0.000
-0.848 -2.504 6.362
Ca Mg P H O
2 1 2 4 10
direct
0.150 0.297 0.262 Ca
0.850 0.703 0.738 Ca
0.500 0.000 0.500 Mg
0.164 0.338 0.743 P
0.836 0.662 0.257 P
0.352 0.875 0.101 H
0.420 0.830 0.815 H
0.580 0.170 0.185 H
0.648 0.125 0.899 H
0.096 0.743 0.427 O
0.134 0.165 0.876 O
0.222 0.630 0.882 O
0.391 0.334 0.628 O
0.430 0.048 0.223 O
0.570 0.952 0.777 O
0.609 0.666 0.372 O
0.778 0.370 0.118 O
0.866 0.835 0.124 O
0.904 0.257 0.573 O
```

Main lines, sorted by position (10° ≤ 2θ ≤ 80°):
27.07°, intensity 27
28.05°, intensity 44
29.25°, intensity 100
32.32°, intensity 35
32.56°, intensity 27
32.83°, intensity 50
33.02°, intensity 44
39.60°, intensity 23
49.34°, intensity 22
54.40°, intensity 23